This entry pairs a crystal structure of Pm7Sm3Th with its calculated powder diffractogram. Radiation: Cu Kα, 1.54184 Å. Structure: the PBE geometry in Alexandria.
No peak broadening, texture or thermal motion is included.

Cell and atoms:
```
Pm7Sm3Th
1.0
7.2201 0.0000 0.0000
-3.6101 6.2528 0.0000
0.0000 0.0000 8.7654
Pm Sm Th
7 3 1
Direct
0.0000 0.0000 0.0000
0.1659 0.3319 0.6663
0.1659 0.8341 0.6663
0.5029 0.0059 0.9982
0.5029 0.4971 0.9982
0.6681 0.8341 0.6663
0.9941 0.4971 0.9982
0.3386 0.1693 0.3385
0.8307 0.1693 0.3385
0.8307 0.6614 0.3385
0.6667 0.3333 0.6681
```

Most intense lines, 15 to 90 degrees two-theta, by angle:
d = 2.945 Å, intensity 100, hkl 2 0 1
d = 2.922 Å, intensity 32, hkl 0 0 3
d = 2.545 Å, intensity 67, hkl 0 2 2
d = 1.805 Å, intensity 24, hkl 2 2 0
d = 1.794 Å, intensity 24, hkl 2 0 4
d = 1.539 Å, intensity 14, hkl 0 4 1
d = 1.536 Å, intensity 28, hkl 2 2 3
d = 1.529 Å, intensity 14, hkl 0 2 5
d = 1.472 Å, intensity 12, hkl 4 0 2
d = 1.171 Å, intensity 12, hkl 4 2 1
d = 1.141 Å, intensity 11, hkl 2 4 2
d = 1.136 Å, intensity 11, hkl 2 2 6